Computed powder XRD pattern
Compound: Li2V3CuO8
Radiation: Cu Kα (weighted mean of Kα1 and Kα2)
Structure: a PBE+U-relaxed structure
Neutral-atom scattering factors, no anomalous dispersion.

Atomic structure:
Cell: 5.887 5.887 9.821 Å, 91.15 91.15 120.25°
Fractional positions:
Li 0.006 0.994 0.500
Li 0.355 0.696 0.404
Li 0.696 0.355 0.904
Li 0.994 0.006 0.000
V 0.168 0.818 0.717
V 0.214 0.347 0.721
V 0.347 0.214 0.221
V 0.680 0.865 0.720
V 0.818 0.168 0.217
V 0.865 0.680 0.220
Cu 0.336 0.682 0.004
Cu 0.682 0.336 0.504
O 0.013 0.026 0.317
O 0.026 0.013 0.817
O 0.066 0.548 0.839
O 0.142 0.327 0.113
O 0.175 0.873 0.113
O 0.327 0.142 0.613
O 0.348 0.669 0.607
O 0.503 0.522 0.830
O 0.522 0.503 0.330
O 0.526 0.988 0.831
O 0.548 0.066 0.339
O 0.669 0.348 0.107
O 0.679 0.842 0.112
O 0.842 0.679 0.612
O 0.873 0.175 0.613
O 0.988 0.526 0.331

Peak list (6 most intense, 10 to 90 degrees two-theta, by angle)
| two_theta | Rel. int. |
| --- | --- |
| 18.1 | 100 |
| 19.4 | 54 |
| 19.6 | 54 |
| 20.0 | 59 |
| 35.2 | 46 |
| 36.4 | 47 |

Computed powder XRD pattern
Compound: LiVCuO4
Radiation: Cu Kα (weighted mean of Kα1 and Kα2)
Structure: a PBE+U-relaxed structure
Neutral-atom scattering factors, no anomalous dispersion.

Atomic structure:
Cell: 6.077 6.077 6.077 Å, 123.90 122.82 84.28°
Fractional positions:
Li 0.500 0.000 0.000
Li 0.500 0.500 0.500
V 0.135 0.385 0.750
V 0.865 0.615 0.250
Cu 0.000 0.000 0.000
Cu 0.500 0.000 0.500
O 0.212 0.724 0.488
O 0.250 0.234 0.485
O 0.250 0.765 0.015
O 0.264 0.276 0.988
O 0.736 0.724 0.012
O 0.750 0.235 0.985
O 0.750 0.766 0.515
O 0.788 0.276 0.512

Peak list (6 most intense, 10 to 90 degrees two-theta, by angle)
| two_theta | Rel. int. |
| --- | --- |
| 19.7 | 63 |
| 29.5 | 46 |
| 31.3 | 50 |
| 33.7 | 84 |
| 36.1 | 100 |
| 61.3 | 58 |

Computed powder XRD pattern
Compound: LiVCuO4
Radiation: Cu Kα (weighted mean of Kα1 and Kα2)
Structure: a PBE+U-relaxed structure
Neutral-atom scattering factors, no anomalous dispersion.

Atomic structure:
Cell: 6.166 6.166 6.166 Å, 125.49 124.98 81.14°
Fractional positions:
Li 0.400 0.150 0.250
Li 0.600 0.850 0.750
V 0.000 0.500 0.500
V 0.500 0.500 0.000
Cu 0.000 0.000 0.500
Cu 0.000 0.500 0.000
O 0.182 0.712 0.470
O 0.258 0.288 0.970
O 0.265 0.293 0.527
O 0.265 0.738 0.973
O 0.735 0.262 0.027
O 0.735 0.707 0.473
O 0.742 0.712 0.030
O 0.818 0.288 0.530

Peak list (6 most intense, 10 to 90 degrees two-theta, by angle)
| two_theta | Rel. int. |
| --- | --- |
| 18.2 | 100 |
| 18.3 | 87 |
| 32.7 | 45 |
| 38.4 | 44 |
| 45.2 | 59 |
| 60.8 | 40 |

Computed powder XRD pattern
Compound: LiVCuO4
Radiation: Cu Kα (weighted mean of Kα1 and Kα2)
Structure: a PBE+U-relaxed structure
Neutral-atom scattering factors, no anomalous dispersion.

Atomic structure:
Cell: 6.095 6.095 7.797 Å, 90.00 90.00 90.00°
Fractional positions:
Li 0.000 0.237 0.000
Li 0.000 0.763 0.500
Li 0.237 0.000 0.250
Li 0.763 0.000 0.750
V 0.217 0.500 0.250
V 0.500 0.217 0.000
V 0.500 0.783 0.500
V 0.783 0.500 0.750
Cu 0.259 0.259 0.625
Cu 0.259 0.741 0.875
Cu 0.741 0.259 0.375
Cu 0.741 0.741 0.125
O 0.034 0.275 0.268
O 0.034 0.725 0.232
O 0.270 0.473 0.011
O 0.270 0.527 0.489
O 0.275 0.034 0.982
O 0.275 0.966 0.518
O 0.473 0.270 0.239
O 0.473 0.730 0.261
O 0.527 0.270 0.761
O 0.527 0.730 0.739
O 0.725 0.034 0.018
O 0.725 0.966 0.482
O 0.730 0.473 0.989
O 0.730 0.527 0.511
O 0.966 0.275 0.732
O 0.966 0.725 0.768

Peak list (6 most intense, 10 to 90 degrees two-theta, by angle)
| two_theta | Rel. int. |
| --- | --- |
| 29.3 | 38 |
| 30.9 | 67 |
| 34.9 | 100 |
| 37.6 | 59 |
| 55.6 | 36 |
| 64.5 | 41 |

Computed powder XRD pattern
Compound: Li2V3CuO8
Radiation: Cu Kα (weighted mean of Kα1 and Kα2)
Structure: a PBE+U-relaxed structure
Neutral-atom scattering factors, no anomalous dispersion.

Atomic structure:
Cell: 8.357 8.396 8.503 Å, 90.00 90.00 90.00°
Fractional positions:
Li 0.121 0.127 0.125
Li 0.247 0.752 0.247
Li 0.253 0.248 0.747
Li 0.379 0.873 0.625
Li 0.621 0.373 0.875
Li 0.747 0.748 0.753
Li 0.753 0.252 0.253
Li 0.879 0.627 0.375
V 0.125 0.385 0.383
V 0.132 0.623 0.632
V 0.133 0.885 0.876
V 0.367 0.115 0.376
V 0.368 0.377 0.132
V 0.375 0.615 0.883
V 0.625 0.115 0.617
V 0.632 0.877 0.368
V 0.633 0.615 0.124
V 0.867 0.385 0.624
V 0.868 0.123 0.868
V 0.875 0.885 0.117
Cu 0.007 0.994 0.498
Cu 0.493 0.006 0.998
Cu 0.507 0.506 0.502
Cu 0.993 0.494 0.002
O 0.105 0.868 0.098
O 0.106 0.101 0.871
O 0.112 0.383 0.616
O 0.120 0.855 0.652
O 0.131 0.604 0.398
O 0.132 0.639 0.867
O 0.144 0.378 0.148
O 0.150 0.140 0.381
O 0.350 0.860 0.881
O 0.356 0.622 0.648
O 0.368 0.361 0.367
O 0.369 0.396 0.898
O 0.380 0.145 0.152
O 0.388 0.617 0.116
O 0.394 0.899 0.371
O 0.395 0.132 0.598
O 0.605 0.632 0.902
O 0.606 0.399 0.129
O 0.612 0.117 0.384
O 0.620 0.645 0.348
O 0.631 0.896 0.602
O 0.632 0.861 0.133
O 0.644 0.122 0.852
O 0.650 0.360 0.619
O 0.850 0.640 0.119
O 0.856 0.878 0.352
O 0.868 0.139 0.633
O 0.869 0.104 0.102
O 0.880 0.355 0.848
O 0.888 0.883 0.884
O 0.894 0.601 0.629
O 0.895 0.368 0.402

Peak list (6 most intense, 10 to 90 degrees two-theta, by angle)
| two_theta | Rel. int. |
| --- | --- |
| 18.3 | 100 |
| 29.9 | 45 |
| 35.1 | 84 |
| 35.4 | 81 |
| 35.6 | 90 |
| 62.1 | 41 |

Computed powder XRD pattern
Compound: LiVCu2O6
Radiation: Cu Kα (weighted mean of Kα1 and Kα2)
Structure: a PBE+U-relaxed structure
Neutral-atom scattering factors, no anomalous dispersion.

Atomic structure:
Cell: 5.766 8.489 9.877 Å, 90.00 90.00 90.00°
Fractional positions:
Li 0.242 0.087 0.493
Li 0.258 0.913 0.993
Li 0.742 0.413 0.507
Li 0.758 0.587 0.007
V 0.243 0.500 0.473
V 0.257 0.500 0.973
V 0.743 0.000 0.527
V 0.757 0.000 0.027
Cu 0.003 0.758 0.260
Cu 0.006 0.744 0.740
Cu 0.494 0.256 0.240
Cu 0.497 0.242 0.760
Cu 0.503 0.742 0.740
Cu 0.506 0.756 0.260
Cu 0.994 0.244 0.760
Cu 0.997 0.258 0.240
O 0.013 0.494 0.575
O 0.029 0.507 0.077
O 0.245 0.159 0.673
O 0.245 0.183 0.145
O 0.245 0.320 0.360
O 0.248 0.325 0.865
O 0.252 0.675 0.365
O 0.255 0.680 0.860
O 0.255 0.817 0.645
O 0.255 0.841 0.173
O 0.471 0.493 0.577
O 0.487 0.506 0.075
O 0.513 0.006 0.425
O 0.529 0.993 0.923
O 0.745 0.180 0.640
O 0.745 0.317 0.855
O 0.745 0.341 0.327
O 0.748 0.175 0.135
O 0.752 0.825 0.635
O 0.755 0.659 0.827
O 0.755 0.683 0.355
O 0.755 0.820 0.140
O 0.971 0.007 0.423
O 0.987 0.994 0.925

Peak list (6 most intense, 10 to 90 degrees two-theta, by angle)
| two_theta | Rel. int. |
| --- | --- |
| 18.0 | 20 |
| 20.9 | 17 |
| 27.7 | 100 |
| 36.1 | 24 |
| 37.7 | 23 |
| 53.4 | 28 |

Computed powder XRD pattern
Compound: Li2V3CuO8
Radiation: Cu Kα (weighted mean of Kα1 and Kα2)
Structure: a PBE+U-relaxed structure
Neutral-atom scattering factors, no anomalous dispersion.

Atomic structure:
Cell: 5.979 5.979 5.979 Å, 59.28 59.28 59.28°
Fractional positions:
Li 0.124 0.124 0.124
Li 0.876 0.876 0.876
V 0.000 0.500 0.500
V 0.500 0.000 0.500
V 0.500 0.500 0.000
Cu 0.500 0.500 0.500
O 0.251 0.251 0.713
O 0.251 0.713 0.251
O 0.261 0.261 0.261
O 0.287 0.749 0.749
O 0.713 0.251 0.251
O 0.739 0.739 0.739
O 0.749 0.287 0.749
O 0.749 0.749 0.287

Peak list (6 most intense, 10 to 90 degrees two-theta, by angle)
| two_theta | Rel. int. |
| --- | --- |
| 18.1 | 27 |
| 18.3 | 100 |
| 35.4 | 39 |
| 43.0 | 73 |
| 62.1 | 21 |
| 62.9 | 22 |

Copy entry 1 word for word.
Computed powder XRD pattern
Compound: Li2V3CuO8
Radiation: Cu Kα (weighted mean of Kα1 and Kα2)
Structure: a PBE+U-relaxed structure
Neutral-atom scattering factors, no anomalous dispersion.

Atomic structure:
Cell: 5.887 5.887 9.821 Å, 91.15 91.15 120.25°
Fractional positions:
Li 0.006 0.994 0.500
Li 0.355 0.696 0.404
Li 0.696 0.355 0.904
Li 0.994 0.006 0.000
V 0.168 0.818 0.717
V 0.214 0.347 0.721
V 0.347 0.214 0.221
V 0.680 0.865 0.720
V 0.818 0.168 0.217
V 0.865 0.680 0.220
Cu 0.336 0.682 0.004
Cu 0.682 0.336 0.504
O 0.013 0.026 0.317
O 0.026 0.013 0.817
O 0.066 0.548 0.839
O 0.142 0.327 0.113
O 0.175 0.873 0.113
O 0.327 0.142 0.613
O 0.348 0.669 0.607
O 0.503 0.522 0.830
O 0.522 0.503 0.330
O 0.526 0.988 0.831
O 0.548 0.066 0.339
O 0.669 0.348 0.107
O 0.679 0.842 0.112
O 0.842 0.679 0.612
O 0.873 0.175 0.613
O 0.988 0.526 0.331

Peak list (6 most intense, 10 to 90 degrees two-theta, by angle)
| two_theta | Rel. int. |
| --- | --- |
| 18.1 | 100 |
| 19.4 | 54 |
| 19.6 | 54 |
| 20.0 | 59 |
| 35.2 | 46 |
| 36.4 | 47 |

Copy entry 4 word for word.
Computed powder XRD pattern
Compound: LiVCuO4
Radiation: Cu Kα (weighted mean of Kα1 and Kα2)
Structure: a PBE+U-relaxed structure
Neutral-atom scattering factors, no anomalous dispersion.

Atomic structure:
Cell: 6.095 6.095 7.797 Å, 90.00 90.00 90.00°
Fractional positions:
Li 0.000 0.237 0.000
Li 0.000 0.763 0.500
Li 0.237 0.000 0.250
Li 0.763 0.000 0.750
V 0.217 0.500 0.250
V 0.500 0.217 0.000
V 0.500 0.783 0.500
V 0.783 0.500 0.750
Cu 0.259 0.259 0.625
Cu 0.259 0.741 0.875
Cu 0.741 0.259 0.375
Cu 0.741 0.741 0.125
O 0.034 0.275 0.268
O 0.034 0.725 0.232
O 0.270 0.473 0.011
O 0.270 0.527 0.489
O 0.275 0.034 0.982
O 0.275 0.966 0.518
O 0.473 0.270 0.239
O 0.473 0.730 0.261
O 0.527 0.270 0.761
O 0.527 0.730 0.739
O 0.725 0.034 0.018
O 0.725 0.966 0.482
O 0.730 0.473 0.989
O 0.730 0.527 0.511
O 0.966 0.275 0.732
O 0.966 0.725 0.768

Peak list (6 most intense, 10 to 90 degrees two-theta, by angle)
| two_theta | Rel. int. |
| --- | --- |
| 29.3 | 38 |
| 30.9 | 67 |
| 34.9 | 100 |
| 37.6 | 59 |
| 55.6 | 36 |
| 64.5 | 41 |